MgU2Si2H4O12: calculated powder X-ray diffraction pattern (Cu Kα (λ = 1.5418 Å)), based on the GGA-PBE geometry in the Materials Project.

Crystal structure
a = 15.217 Å, b = 6.816 Å, c = 6.634 Å
α = 90.00°, β = 101.45°, γ = 90.00°
Space group C2/m (No. 12)
Asymmetric unit:
Mg1 0.000 0.000 0.000
U1 0.239 0.000 0.850
Si1 0.189 0.000 0.295
H1 0.100 0.385 0.809
O1 0.083 0.000 0.259
O2 0.103 0.500 0.900
O3 0.111 0.000 0.828
O4 0.228 0.185 0.169
O5 0.243 0.000 0.535

Principal peaks in the range 2θ from 5° to 70°, most intense first:
d/Å  2theta  intensity  (hkl)
7.457  11.9  100  2 0 0
6.502  13.6  27  0 0 1
3.408  26.1  23  0 2 0
2.983  30.0  20  1 1 -2
4.312  20.6  18  1 1 1
2.752  32.5  18  3 1 -2
3.692  24.1  16  3 1 -1
3.729  23.9  16  4 0 0


Li3SbP2O8: calculated powder X-ray diffraction pattern (Cu Kα (λ = 1.5418 Å)), based on the GGA-PBE geometry in the Materials Project.

Crystal structure
a = 5.087 Å, b = 18.943 Å, c = 8.187 Å
α = 90.00°, β = 127.57°, γ = 90.00°
Space group P2_1/c (No. 14)
Asymmetric unit:
Li1 0.035 0.046 0.303
Li2 0.264 0.616 0.997
Li3 0.379 0.201 0.678
Sb1 0.180 0.124 0.984
P1 0.108 0.715 0.293
P2 0.466 0.035 0.757
O1 0.039 0.677 0.107
O2 0.139 0.056 0.726
O3 0.161 0.703 0.784
O4 0.182 0.204 0.191
O5 0.226 0.556 0.524
O6 0.440 0.689 0.499
O7 0.450 0.548 0.235
O8 0.463 0.070 0.587

Principal peaks in the range 2θ from 5° to 70°, most intense first:
d/Å  2theta  intensity  (hkl)
6.139  14.4  100  0 1 1
2.677  33.5  63  0 4 2
2.683  33.4  63  1 6 -1
4.526  19.6  55  0 3 1
4.481  19.8  44  1 2 -1
3.890  22.9  34  1 1 -2
3.398  26.2  31  1 3 0
2.644  33.9  26  1 2 1


La3PbC: calculated powder X-ray diffraction pattern (Cu Kα (λ = 1.5418 Å)), based on the GGA-PBE geometry in the Materials Project.

Crystal structure
a = 5.242 Å, b = 5.242 Å, c = 5.242 Å
α = 90.00°, β = 90.00°, γ = 90.00°
Space group Pm-3m (No. 221)
Asymmetric unit:
La1 0.000 0.000 0.500
Pb1 0.500 0.500 0.500
C1 0.000 0.000 0.000

Principal peaks in the range 2θ from 5° to 70°, most intense first:
d/Å  2theta  intensity  (hkl)
3.026  29.5  100  1 1 1
2.621  34.2  55  2 0 0
1.580  58.4  45  3 1 1
1.853  49.2  39  2 2 0
1.513  61.3  14  2 2 2
3.706  24.0  4  1 1 0
2.140  42.2  2  2 1 1
5.242  16.9  2  1 0 0


NaTlN2F6: calculated powder X-ray diffraction pattern (Cu Kα (λ = 1.5418 Å)), based on the GGA-PBE geometry in the Materials Project.

Crystal structure
a = 8.854 Å, b = 8.854 Å, c = 8.854 Å
α = 90.00°, β = 90.00°, γ = 90.00°
Space group Fm-3m (No. 225)
Asymmetric unit:
Na1 0.000 0.000 0.000
Tl1 0.000 0.000 0.500
N1 0.250 0.250 0.250
F1 0.000 0.000 0.258

Principal peaks in the range 2θ from 5° to 70°, most intense first:
d/Å  2theta  intensity  (hkl)
5.112  17.3  100  1 1 1
4.427  20.1  92  2 0 0
3.130  28.5  64  2 2 0
2.669  33.6  55  3 1 1
1.980  45.8  44  4 2 0
2.213  40.8  36  4 0 0
1.807  50.5  26  4 2 2
2.031  44.6  24  3 3 1


Tl2SiHgSe4: calculated powder X-ray diffraction pattern (Cu Kα (λ = 1.5418 Å)), based on the GGA-PBE geometry in the Materials Project.

Crystal structure
a = 8.190 Å, b = 8.190 Å, c = 6.869 Å
α = 90.00°, β = 90.00°, γ = 90.00°
Space group I-42m (No. 121)
Asymmetric unit:
Tl1 0.000 0.500 0.000
Si1 0.000 0.000 0.000
Hg1 0.000 0.000 0.500
Se1 0.159 0.159 0.204

Principal peaks in the range 2θ from 5° to 70°, most intense first:
d/Å  2theta  intensity  (hkl)
2.631  34.1  100  2 0 2
4.095  21.7  68  2 0 0
3.232  27.6  58  2 1 1
2.896  30.9  55  2 2 0
2.214  40.8  40  2 2 2
1.759  52.0  36  4 0 2
1.831  49.8  32  4 2 0
1.616  57.0  28  4 2 2